Structure and computed X-ray diffraction stick pattern of KMo8O12 (a cell relaxed with PBE+U; Cu Kα (λ = 1.5418 Å)).
Peak positions follow from Bragg's law for the DFT cell and can differ from measured ones.

Principal peaks in the range 2θ from 15° to 90°, sorted by position:
hkl, two_theta, I/Imax
1 0 -3, 27.23, 222
1 0 3, 27.58, 273
3 0 -1, 28.11, 367
3 0 1, 28.44, 306
2 0 -3, 31.29, 211
0 1 2, 32.12, 216
1 1 -2, 33.30, 498
1 1 2, 33.53, 1000
2 1 1, 33.77, 356
4 0 0, 36.12, 442

Structural model:
a b c (Å): 9.947 3.309 10.335
angles (deg): 90.00 91.15 90.00
Space group P2 (No. 3)
Asymmetric unit:
K 0.000 0.000 0.000 [1 per cell]
Mo 0.131 0.507 0.670 [2 per cell]
Mo 0.142 0.008 0.399 [2 per cell]
Mo 0.354 0.008 0.907 [2 per cell]
Mo 0.376 0.508 0.176 [2 per cell]
O 0.063 0.508 0.286 [2 per cell]
O 0.177 0.008 0.783 [2 per cell]
O 0.222 0.508 0.506 [2 per cell]
O 0.266 0.508 0.012 [2 per cell]
O 0.311 0.008 0.272 [2 per cell]
O 0.427 0.508 0.799 [2 per cell]